Calculated powder XRD pattern
Compound: MnGe2Au
Radiation: Cu Kα (weighted mean of Kα1 and Kα2)
Structure: a cell relaxed with PBE

Structure:
Lattice parameters (Å, degrees): 4.092 4.092 14.869 90.00 90.00 120.00
Positions (direct):
Mn: 0.000 0.000 0.000
Mn: 0.333 0.667 0.667
Mn: 0.667 0.333 0.333
Ge: 0.000 0.000 0.256
Ge: 0.000 0.000 0.744
Ge: 0.333 0.667 0.410
Ge: 0.333 0.667 0.923
Ge: 0.667 0.333 0.077
Ge: 0.667 0.333 0.590
Au: 0.000 0.000 0.500
Au: 0.333 0.667 0.167
Au: 0.667 0.333 0.833

Main lines, sorted by position (2θ from 10° to 80°):
2θ = 17.90°, intensity 15, (0 0 3)
2θ = 25.85°, intensity 28, (1 0 1)
2θ = 34.98°, intensity 100, (1 0 4)
2θ = 39.56°, intensity 13, (0 1 5)
2θ = 44.28°, intensity 52, (1 1 0)
2θ = 55.86°, intensity 25, (0 1 8)
2θ = 57.64°, intensity 23, (0 2 4)
2θ = 75.45°, intensity 21, (2 1 4)

***

Calculated powder XRD pattern
Compound: Sr2MnGeAu6
Radiation: Cu Kα (weighted mean of Kα1 and Kα2)
Structure: a cell relaxed with PBE

Structure:
Lattice parameters (Å, degrees): 6.907 6.919 6.960 60.54 61.72 60.77
Positions (direct):
Sr: 0.209 0.211 0.376
Sr: 0.791 0.789 0.624
Mn: 0.500 0.500 0.500
Ge: 0.000 0.000 0.000
Au: 0.186 0.314 0.835
Au: 0.302 0.666 0.837
Au: 0.353 0.813 0.146
Au: 0.647 0.187 0.854
Au: 0.698 0.334 0.163
Au: 0.814 0.686 0.165

Main lines, sorted by position (2θ from 10° to 80°):
2θ = 15.37°, intensity 100, (0 0 1)
2θ = 29.64°, intensity 64, (0 1 2)
2θ = 30.15°, intensity 97, (1 -1 1)
2θ = 31.89°, intensity 37, (2 2 2)
2θ = 39.63°, intensity 46, (2 -1 0)
2θ = 40.06°, intensity 36, (1 3 1)
2θ = 41.06°, intensity 38, (1 3 2)
2θ = 41.19°, intensity 43, (3 2 1)